Structure and theoretical powder X-ray diffraction pattern of Mg14ZnCO16 (the PBE geometry in the Materials Project; CuKα).

Atomic structure:
a = 8.520 Å, b = 8.520 Å, c = 4.244 Å
α = 90.00°, β = 90.00°, γ = 90.00°
Positions (direct):
Mg (0.000, 0.247, 0.000)
Mg (0.000, 0.500, 0.500)
Mg (0.000, 0.753, 0.000)
Mg (0.247, 0.000, 0.000)
Mg (0.248, 0.248, 0.500)
Mg (0.248, 0.752, 0.500)
Mg (0.250, 0.500, 0.000)
Mg (0.500, 0.000, 0.500)
Mg (0.500, 0.250, 0.000)
Mg (0.500, 0.750, 0.000)
Mg (0.750, 0.500, 0.000)
Mg (0.752, 0.248, 0.500)
Mg (0.752, 0.752, 0.500)
Mg (0.753, 0.000, 0.000)
Zn (0.500, 0.500, 0.500)
C (0.000, 0.000, 0.500)
O (0.000, 0.000, 0.000)
O (0.000, 0.251, 0.500)
O (0.000, 0.500, 0.000)
O (0.000, 0.749, 0.500)
O (0.246, 0.500, 0.500)
O (0.250, 0.250, 0.000)
O (0.250, 0.750, 0.000)
O (0.251, 0.000, 0.500)
O (0.500, 0.000, 0.000)
O (0.500, 0.246, 0.500)
O (0.500, 0.500, 0.000)
O (0.500, 0.754, 0.500)
O (0.749, 0.000, 0.500)
O (0.750, 0.250, 0.000)
O (0.750, 0.750, 0.000)
O (0.754, 0.500, 0.500)

Largest 12 diffraction maxima, in order of rising 2θ, 5° ≤ 2θ ≤ 70°:
2θ = 10.4°, d = 8.520 Å, I 19, (1 0 0); 2θ = 14.7°, d = 6.025 Å, I 3, (1 1 0); 2θ = 23.4°, d = 3.805 Å, I 14, (2 1 0); 2θ = 31.5°, d = 2.836 Å, I 10, (3 0 0); 2θ = 36.6°, d = 2.456 Å, I 20, (2 2 1); 2θ = 38.1°, d = 2.362 Å, I 4, (3 0 1); 2θ = 42.4°, d = 2.130 Å, I 100, (4 0 0); 2θ = 42.6°, d = 2.122 Å, I 49, (0 0 2); 2θ = 43.8°, d = 2.065 Å, I 4, (4 1 0); 2θ = 58.3°, d = 1.582 Å, I 2, (4 3 1); 2θ = 61.6°, d = 1.506 Å, I 28, (4 4 0); 2θ = 61.7°, d = 1.503 Å, I 56, (4 0 2)



Structure and theoretical powder X-ray diffraction pattern of RbMg6C (the PBE geometry in the Materials Project; CuKα).

Atomic structure:
a = 3.417 Å, b = 5.817 Å, c = 22.479 Å
α = 90.00°, β = 90.00°, γ = 90.00°
Positions (direct):
Rb (0.000, 0.000, 0.000)
Rb (0.000, 0.500, 0.500)
Mg (0.000, 0.246, 0.243)
Mg (0.000, 0.254, 0.743)
Mg (0.000, 0.746, 0.743)
Mg (0.000, 0.754, 0.243)
Mg (0.500, 0.000, 0.146)
Mg (0.500, 0.000, 0.630)
Mg (0.500, 0.237, 0.352)
Mg (0.500, 0.263, 0.852)
Mg (0.500, 0.500, 0.130)
Mg (0.500, 0.500, 0.646)
Mg (0.500, 0.737, 0.852)
Mg (0.500, 0.763, 0.352)
C (0.000, 0.000, 0.325)
C (0.000, 0.500, 0.825)

Largest 12 diffraction maxima, in order of rising 2θ, 5° ≤ 2θ ≤ 70°:
2θ = 15.7°, d = 5.630 Å, I 54, (0 1 1); 2θ = 19.3°, d = 4.595 Å, I 47, (0 1 3); 2θ = 23.7°, d = 3.746 Å, I 18, (0 0 6); 2θ = 25.0°, d = 3.557 Å, I 22, (0 1 5); 2θ = 30.6°, d = 2.920 Å, I 100, (1 0 4); 2θ = 31.8°, d = 2.813 Å, I 71, (0 0 8); 2θ = 32.7°, d = 2.742 Å, I 24, (1 1 3); 2θ = 39.2°, d = 2.297 Å, I 24, (0 2 6); 2θ = 41.6°, d = 2.172 Å, I 49, (1 2 2); 2θ = 47.7°, d = 1.906 Å, I 37, (1 2 6); 2θ = 55.9°, d = 1.644 Å, I 13, (1 0 12); 2θ = 63.7°, d = 1.460 Å, I 19, (2 0 8)



Structure and theoretical powder X-ray diffraction pattern of RbMg6C (the PBE geometry in the Materials Project; CuKα).

Atomic structure:
a = 3.283 Å, b = 8.311 Å, c = 14.581 Å
α = 90.00°, β = 90.00°, γ = 90.00°
Positions (direct):
Rb (0.000, 0.000, 0.000)
Rb (0.000, 0.500, 0.500)
Mg (0.000, 0.000, 0.448)
Mg (0.000, 0.173, 0.786)
Mg (0.000, 0.327, 0.286)
Mg (0.000, 0.500, 0.948)
Mg (0.000, 0.673, 0.286)
Mg (0.000, 0.827, 0.786)
Mg (0.500, 0.000, 0.250)
Mg (0.500, 0.167, 0.622)
Mg (0.500, 0.333, 0.122)
Mg (0.500, 0.500, 0.750)
Mg (0.500, 0.667, 0.122)
Mg (0.500, 0.833, 0.622)
C (0.500, 0.000, 0.752)
C (0.500, 0.500, 0.252)

Largest 12 diffraction maxima, in order of rising 2θ, 5° ≤ 2θ ≤ 70°:
2θ = 12.3°, d = 7.221 Å, I 58, (0 1 1); 2θ = 21.2°, d = 4.196 Å, I 35, (0 1 3); 2θ = 21.4°, d = 4.156 Å, I 28, (0 2 0); 2θ = 24.4°, d = 3.645 Å, I 29, (0 0 4); 2θ = 24.7°, d = 3.610 Å, I 43, (0 2 2); 2θ = 29.9°, d = 2.991 Å, I 86, (1 0 2); 2θ = 32.5°, d = 2.752 Å, I 41, (0 1 5); 2θ = 32.7°, d = 2.740 Å, I 45, (0 2 4); 2θ = 32.9°, d = 2.722 Å, I 40, (0 3 1); 2θ = 36.8°, d = 2.440 Å, I 30, (1 0 4); 2θ = 37.0°, d = 2.429 Å, I 100, (1 2 2); 2θ = 46.8°, d = 1.941 Å, I 31, (1 3 3)